Record 1
Diffraction record for DyHo4In3. The X-ray powder pattern is theoretical, not measured: it uses a crystal structure in Alexandria, relaxed with PBE and a wavelength of 1.5418 Å.
Neutral-atom scattering factors, no anomalous dispersion.

Structure:
Lattice parameters (Å, degrees): 5.3280 5.3280 27.2368 90.00 90.00 120.00
Space group R-3m (No. 166, hexagonal axes)
Unique sites:
1 Dy 0.0000 0.0000 0.0000 (multiplicity 3)
2 Ho 0.0000 0.0000 0.1292 (multiplicity 6)
3 Ho 0.0000 0.0000 0.3868 (multiplicity 6)
4 In 0.0000 0.0000 0.2642 (multiplicity 6)
5 In 0.0000 0.0000 0.5000 (multiplicity 3)

The 10 most intense peaks (10 to 90 degrees two-theta), most intense first:
hkl	2θ (°)	I (rel.)
1 1 0	33.64	100.0
0 1 8	32.69	86.9
1 2 8	59.56	30.9
2 0 8	47.61	30.4
3 0 0	60.16	18.6
3 1 8	80.11	13.2
1 0 7	30.04	13.0
1 1 15	61.84	11.6
2 2 0	70.73	11.5
1 0 16	57.72	8.4


Record 2
Diffraction record for DyHo4In. The X-ray powder pattern is theoretical, not measured: it uses a crystal structure in Alexandria, relaxed with PBE and a wavelength of 1.5418 Å.
Neutral-atom scattering factors, no anomalous dispersion.

Structure:
Lattice parameters (Å, degrees): 4.8517 14.6967 9.8300 90.00 90.00 90.00
Space group Cmc2_1 (No. 36)
Unique sites:
1 Dy 0.0000 0.1676 0.0000 (multiplicity 4)
2 Ho 0.0000 0.0039 0.2556 (multiplicity 4)
3 Ho 0.0000 0.1674 0.5109 (multiplicity 4)
4 Ho 0.0000 0.3273 0.2556 (multiplicity 4)
5 Ho 0.0000 0.4998 0.0055 (multiplicity 4)
6 In 0.0000 0.3347 0.7557 (multiplicity 4)

The 10 most intense peaks (10 to 90 degrees two-theta), most intense first:
hkl	2θ (°)	I (rel.)
1 3 2	31.70	100.0
2 0 4	53.09	23.3
0 0 4	36.56	17.0
0 6 0	36.69	16.8
2 0 0	37.06	16.5
1 3 6	62.80	13.9
3 3 2	63.46	13.7
1 9 2	62.96	13.6
2 6 4	66.23	12.1
0 6 4	52.77	12.0


Question: Number 1 is which compound?
Answer: DyHo4In3